In2TeP2: calculated XRD peak list (λ = 1.5418 Å (Cu Kα)), based on a crystal structure in Alexandria, relaxed with GGA-PBE.
Peak positions follow from Bragg's law for the DFT cell and can differ from measured ones.

Principal peaks in the range 2θ from 10° to 90°, sorted by position:
| two_theta | d/Å | I/Imax |
| --- | --- | --- |
| 10.05 | 8.804 | 35 |
| 28.75 | 3.105 | 90 |
| 34.67 | 2.587 | 40 |
| 35.38 | 2.537 | 100 |
| 36.19 | 2.482 | 40 |
| 41.01 | 2.201 | 20 |
| 49.85 | 1.829 | 28 |
| 58.57 | 1.576 | 23 |
| 62.60 | 1.484 | 37 |
| 63.96 | 1.456 | 18 |

Structural model:
abc: 9.176 9.176 9.176
angles: 157.00 157.00 32.75
Element x y z (fractional)
In: 0.112 0.112 0.000
In: 0.888 0.888 0.000
Te: 0.500 0.500 0.000
P: 0.250 0.750 0.500
P: 0.750 0.250 0.500

VRuW: calculated XRD peak list (λ = 1.5418 Å (Cu Kα)), based on a crystal structure in Alexandria, relaxed with GGA-PBE.
Peak positions follow from Bragg's law for the DFT cell and can differ from measured ones.

Principal peaks in the range 2θ from 10° to 90°, sorted by position:
| two_theta | d/Å | I/Imax |
| --- | --- | --- |
| 18.97 | 4.678 | 8 |
| 30.84 | 2.899 | 21 |
| 41.41 | 2.180 | 100 |
| 41.72 | 2.165 | 25 |
| 42.07 | 2.148 | 24 |
| 59.26 | 1.559 | 8 |
| 60.74 | 1.525 | 16 |
| 75.07 | 1.265 | 8 |
| 75.95 | 1.253 | 16 |
| 76.43 | 1.246 | 16 |

Structural model:
abc: 5.155 5.155 4.295
angles: 90.00 90.00 130.33
Element x y z (fractional)
V: 0.000 0.000 0.000
V: 0.500 0.500 0.500
Ru: 0.154 0.846 0.500
Ru: 0.846 0.154 0.500
W: 0.336 0.664 0.000
W: 0.664 0.336 0.000

TaOs3Ru: calculated XRD peak list (λ = 1.5418 Å (Cu Kα)), based on a crystal structure in Alexandria, relaxed with GGA-PBE.
Peak positions follow from Bragg's law for the DFT cell and can differ from measured ones.

Principal peaks in the range 2θ from 10° to 90°, sorted by position:
| two_theta | d/Å | I/Imax |
| --- | --- | --- |
| 21.78 | 4.081 | 100 |
| 39.78 | 2.266 | 65 |
| 41.86 | 2.158 | 100 |
| 44.39 | 2.041 | 28 |
| 49.49 | 1.842 | 61 |
| 54.68 | 1.679 | 27 |
| 70.77 | 1.331 | 21 |
| 74.40 | 1.275 | 18 |
| 75.05 | 1.266 | 21 |
| 87.48 | 1.115 | 25 |

Structural model:
abc: 5.110 5.110 5.110
angles: 62.81 62.81 62.81
Element x y z (fractional)
Ta: 0.000 0.000 0.000
Os: 0.000 0.500 0.500
Os: 0.500 0.000 0.500
Os: 0.500 0.500 0.000
Ru: 0.500 0.500 0.500

Ba4BiI4: calculated XRD peak list (λ = 1.5418 Å (Cu Kα)), based on a crystal structure in Alexandria, relaxed with GGA-PBE.
Peak positions follow from Bragg's law for the DFT cell and can differ from measured ones.

Principal peaks in the range 2θ from 10° to 90°, sorted by position:
| two_theta | d/Å | I/Imax |
| --- | --- | --- |
| 10.83 | 8.168 | 14 |
| 24.88 | 3.579 | 100 |
| 25.13 | 3.544 | 48 |
| 35.37 | 2.537 | 20 |
| 35.55 | 2.525 | 57 |
| 35.77 | 2.510 | 37 |
| 43.87 | 2.064 | 32 |
| 51.04 | 1.789 | 13 |
| 57.50 | 1.603 | 19 |
| 57.90 | 1.593 | 18 |

Structural model:
abc: 8.708 8.708 12.388
angles: 118.50 118.50 33.88
Element x y z (fractional)
Ba: 0.092 0.092 0.403
Ba: 0.305 0.305 0.211
Ba: 0.695 0.695 0.789
Ba: 0.908 0.908 0.597
Bi: 0.500 0.500 0.500
I: 0.108 0.108 0.902
I: 0.303 0.303 0.702
I: 0.697 0.697 0.298
I: 0.892 0.892 0.098

Cs3PbO4: calculated XRD peak list (λ = 1.5418 Å (Cu Kα)), based on a crystal structure in Alexandria, relaxed with GGA-PBE.
Peak positions follow from Bragg's law for the DFT cell and can differ from measured ones.

Principal peaks in the range 2θ from 10° to 90°, sorted by position:
| two_theta | d/Å | I/Imax |
| --- | --- | --- |
| 25.10 | 3.548 | 29 |
| 25.40 | 3.507 | 100 |
| 27.30 | 3.266 | 27 |
| 34.99 | 2.565 | 14 |
| 37.42 | 2.403 | 21 |
| 43.54 | 2.079 | 13 |
| 44.40 | 2.040 | 27 |
| 44.94 | 2.017 | 13 |
| 47.11 | 1.929 | 20 |
| 52.16 | 1.754 | 16 |

Structural model:
abc: 7.035 7.035 6.533
angles: 117.57 117.57 60.57
Element x y z (fractional)
Cs: 0.000 0.000 0.000
Cs: 0.253 0.247 0.751
Cs: 0.753 0.747 0.249
Pb: 0.510 0.490 0.500
O: 0.213 0.385 0.295
O: 0.615 0.787 0.705
O: 0.828 0.171 0.615
O: 0.829 0.172 0.385

Ac3SbO3: calculated XRD peak list (λ = 1.5418 Å (Cu Kα)), based on a crystal structure in Alexandria, relaxed with GGA-PBE.
Peak positions follow from Bragg's law for the DFT cell and can differ from measured ones.

Principal peaks in the range 2θ from 10° to 90°, sorted by position:
| two_theta | d/Å | I/Imax |
| --- | --- | --- |
| 22.32 | 3.982 | 13 |
| 26.64 | 3.346 | 100 |
| 33.11 | 2.706 | 43 |
| 33.76 | 2.655 | 16 |
| 41.93 | 2.155 | 15 |
| 42.46 | 2.129 | 30 |
| 50.84 | 1.796 | 17 |
| 52.21 | 1.752 | 17 |
| 55.31 | 1.661 | 19 |
| 68.33 | 1.373 | 14 |

Structural model:
abc: 9.031 9.031 9.031
angles: 48.19 48.19 48.19
Element x y z (fractional)
Ac: 0.049 0.402 0.748
Ac: 0.252 0.951 0.598
Ac: 0.402 0.748 0.049
Ac: 0.598 0.252 0.951
Ac: 0.748 0.049 0.402
Ac: 0.951 0.598 0.252
Sb: 0.166 0.166 0.166
Sb: 0.834 0.834 0.834
O: 0.051 0.699 0.366
O: 0.301 0.634 0.949
O: 0.366 0.051 0.699
O: 0.634 0.949 0.301
O: 0.699 0.366 0.051
O: 0.949 0.301 0.634

Er12Bi6Os: calculated XRD peak list (λ = 1.5418 Å (Cu Kα)), based on a crystal structure in Alexandria, relaxed with GGA-PBE.
Peak positions follow from Bragg's law for the DFT cell and can differ from measured ones.

Principal peaks in the range 2θ from 10° to 90°, sorted by position:
| two_theta | d/Å | I/Imax |
| --- | --- | --- |
| 21.87 | 4.065 | 65 |
| 29.15 | 3.063 | 27 |
| 30.54 | 2.927 | 43 |
| 31.89 | 2.806 | 100 |
| 32.33 | 2.769 | 26 |
| 36.05 | 2.491 | 29 |
| 36.24 | 2.479 | 51 |
| 37.41 | 2.404 | 62 |
| 42.59 | 2.123 | 30 |
| 53.20 | 1.722 | 25 |

Structural model:
abc: 8.615 8.615 8.615
angles: 99.82 99.82 99.82
Element x y z (fractional)
Er: 0.002 0.689 0.941
Er: 0.059 0.998 0.311
Er: 0.204 0.411 0.538
Er: 0.311 0.059 0.998
Er: 0.411 0.538 0.204
Er: 0.462 0.796 0.589
Er: 0.538 0.204 0.411
Er: 0.589 0.462 0.796
Er: 0.689 0.941 0.002
Er: 0.796 0.589 0.462
Er: 0.941 0.002 0.689
Er: 0.998 0.311 0.059
Bi: 0.116 0.652 0.322
Bi: 0.322 0.116 0.652
Bi: 0.348 0.678 0.884
Bi: 0.652 0.322 0.116
Bi: 0.678 0.884 0.348
Bi: 0.884 0.348 0.678
Os: 0.000 0.000 0.000

SmGdThHg: calculated XRD peak list (λ = 1.5418 Å (Cu Kα)), based on a crystal structure in Alexandria, relaxed with GGA-PBE.
Peak positions follow from Bragg's law for the DFT cell and can differ from measured ones.

Principal peaks in the range 2θ from 10° to 90°, sorted by position:
| two_theta | d/Å | I/Imax |
| --- | --- | --- |
| 22.90 | 3.884 | 3 |
| 32.61 | 2.746 | 100 |
| 40.22 | 2.242 | 1 |
| 46.78 | 1.942 | 19 |
| 52.70 | 1.737 | 2 |
| 58.19 | 1.585 | 39 |
| 68.31 | 1.373 | 12 |
| 73.10 | 1.295 | 1 |
| 77.77 | 1.228 | 17 |
| 86.89 | 1.121 | 4 |

Structural model:
abc: 5.492 5.492 5.492
angles: 60.00 60.00 60.00
Element x y z (fractional)
Sm: 0.000 0.000 0.000
Gd: 0.500 0.500 0.500
Th: 0.750 0.750 0.750
Hg: 0.250 0.250 0.250

PmTl2F5: calculated XRD peak list (λ = 1.5418 Å (Cu Kα)), based on a crystal structure in Alexandria, relaxed with GGA-PBE.
Peak positions follow from Bragg's law for the DFT cell and can differ from measured ones.

Principal peaks in the range 2θ from 10° to 90°, sorted by position:
| two_theta | d/Å | I/Imax |
| --- | --- | --- |
| 25.23 | 3.530 | 52 |
| 26.38 | 3.378 | 100 |
| 27.63 | 3.228 | 64 |
| 27.99 | 3.188 | 40 |
| 35.46 | 2.532 | 40 |
| 38.03 | 2.366 | 35 |
| 39.10 | 2.304 | 18 |
| 45.16 | 2.008 | 21 |
| 47.79 | 1.903 | 27 |
| 55.20 | 1.664 | 27 |

Structural model:
abc: 11.542 7.648 7.061
angles: 90.00 90.00 90.00
Element x y z (fractional)
Pm: 0.002 0.250 0.061
Pm: 0.498 0.750 0.561
Pm: 0.502 0.250 0.439
Pm: 0.998 0.750 0.939
Tl: 0.172 0.001 0.517
Tl: 0.172 0.499 0.517
Tl: 0.328 0.501 0.017
Tl: 0.328 0.999 0.017
Tl: 0.672 0.001 0.983
Tl: 0.672 0.499 0.983
Tl: 0.828 0.501 0.483
Tl: 0.828 0.999 0.483
F: 0.020 0.250 0.383
F: 0.073 0.533 0.141
F: 0.073 0.967 0.141
F: 0.164 0.250 0.874
F: 0.190 0.750 0.850
F: 0.310 0.250 0.350
F: 0.336 0.750 0.374
F: 0.427 0.033 0.641
F: 0.427 0.467 0.641
F: 0.480 0.750 0.883
F: 0.520 0.250 0.117
F: 0.573 0.533 0.359
F: 0.573 0.967 0.359
F: 0.664 0.250 0.626
F: 0.690 0.750 0.650
F: 0.810 0.250 0.150
F: 0.836 0.750 0.126
F: 0.927 0.033 0.859
F: 0.927 0.467 0.859
F: 0.980 0.750 0.617

Tb2PmNdTm2: calculated XRD peak list (λ = 1.5418 Å (Cu Kα)), based on a crystal structure in Alexandria, relaxed with GGA-PBE.
Peak positions follow from Bragg's law for the DFT cell and can differ from measured ones.

Principal peaks in the range 2θ from 10° to 90°, sorted by position:
| two_theta | d/Å | I/Imax |
| --- | --- | --- |
| 27.86 | 3.202 | 43 |
| 30.26 | 2.954 | 100 |
| 33.43 | 2.680 | 36 |
| 34.01 | 2.636 | 46 |
| 36.58 | 2.456 | 58 |
| 46.16 | 1.967 | 14 |
| 54.38 | 1.687 | 29 |
| 61.73 | 1.503 | 26 |
| 63.29 | 1.469 | 15 |
| 86.32 | 1.127 | 19 |

Structural model:
abc: 6.982 16.080 3.540
angles: 90.00 90.00 90.00
Element x y z (fractional)
Tb: 0.250 0.159 0.000
Tb: 0.250 0.659 0.500
Tb: 0.750 0.341 0.500
Tb: 0.750 0.841 0.000
Pm: 0.000 0.000 0.500
Pm: 0.500 0.500 0.000
Nd: 0.000 0.500 0.000
Nd: 0.500 0.000 0.500
Tm: 0.250 0.344 0.500
Tm: 0.250 0.844 0.000
Tm: 0.750 0.156 0.000
Tm: 0.750 0.656 0.500

Li5CdHg: calculated XRD peak list (λ = 1.5418 Å (Cu Kα)), based on a crystal structure in Alexandria, relaxed with GGA-PBE.
Peak positions follow from Bragg's law for the DFT cell and can differ from measured ones.

Principal peaks in the range 2θ from 10° to 90°, sorted by position:
| two_theta | d/Å | I/Imax |
| --- | --- | --- |
| 18.40 | 4.822 | 44 |
| 19.23 | 4.616 | 100 |
| 24.30 | 3.664 | 79 |
| 27.02 | 3.301 | 59 |
| 34.87 | 2.573 | 33 |
| 35.98 | 2.496 | 27 |
| 36.53 | 2.460 | 30 |
| 37.37 | 2.406 | 30 |
| 39.80 | 2.265 | 23 |
| 40.65 | 2.220 | 24 |

Structural model:
abc: 5.493 5.493 10.187
angles: 99.83 99.83 61.95
Element x y z (fractional)
Li: 0.122 0.360 0.679
Li: 0.167 0.833 0.750
Li: 0.280 0.412 0.961
Li: 0.360 0.122 0.179
Li: 0.412 0.280 0.461
Li: 0.588 0.720 0.539
Li: 0.640 0.878 0.821
Li: 0.720 0.588 0.039
Li: 0.833 0.167 0.250
Li: 0.878 0.640 0.321
Cd: 0.336 0.664 0.250
Cd: 0.664 0.336 0.750
Hg: 0.000 0.000 0.000
Hg: 0.000 0.000 0.500

La6GeAs3Cl2: calculated XRD peak list (λ = 1.5418 Å (Cu Kα)), based on a crystal structure in Alexandria, relaxed with GGA-PBE.
Peak positions follow from Bragg's law for the DFT cell and can differ from measured ones.

Principal peaks in the range 2θ from 10° to 90°, sorted by position:
| two_theta | d/Å | I/Imax |
| --- | --- | --- |
| 25.11 | 3.547 | 6 |
| 25.13 | 3.543 | 19 |
| 29.09 | 3.069 | 100 |
| 41.61 | 2.170 | 74 |
| 49.23 | 1.851 | 12 |
| 51.58 | 1.772 | 26 |
| 60.31 | 1.535 | 12 |
| 68.34 | 1.373 | 32 |
| 75.92 | 1.253 | 16 |
| 75.98 | 1.252 | 8 |

Structural model:
abc: 7.515 7.515 7.517
angles: 99.58 99.58 119.94
Element x y z (fractional)
La: 0.087 0.411 0.761
La: 0.237 0.237 0.240
La: 0.411 0.087 0.761
La: 0.589 0.913 0.239
La: 0.763 0.763 0.760
La: 0.913 0.589 0.239
Ge: 0.000 0.000 0.500
As: 0.169 0.831 0.000
As: 0.500 0.500 0.000
As: 0.831 0.169 0.000
Cl: 0.334 0.666 0.500
Cl: 0.666 0.334 0.500